1.
Starting from a cell relaxed with PBE, the powder diffraction line list of Tb8NiSe4S3 was calculated for Cu Kα X-rays.
No peak broadening, texture or thermal motion is included.

Top 10 peaks for 15° ≤ 2θ ≤ 90°, low angle first:
d = 3.328 Å, 26.79 deg, I 88, hkl 0 0 6
d = 3.279 Å, 27.20 deg, I 280, hkl 2 0 2
d = 2.850 Å, 31.39 deg, I 1000, hkl 0 2 4
d = 2.026 Å, 44.72 deg, I 347, hkl 2 0 8
d = 2.004 Å, 45.25 deg, I 366, hkl 2 2 0
d = 1.639 Å, 56.10 deg, I 187, hkl 4 0 4
d = 1.425 Å, 65.51 deg, I 109, hkl 0 4 8
d = 1.280 Å, 74.06 deg, I 135, hkl 2 2 12
d = 1.269 Å, 74.83 deg, I 156, hkl 2 4 4
d = 1.161 Å, 83.19 deg, I 111, hkl 4 2 8

Structural model:
abc: 8.0163 8.0163 19.9665
angles: 90.00 90.00 120.00
Space group R-3m (No. 166, hexagonal axes)
One atom of each set of equivalent atoms:
Tb (0.0000, 0.0000, 0.2435) x6
Tb (0.0108, 0.5054, 0.2426) x18
Ni (0.0000, 0.0000, 0.5000) x3
Se (0.0000, 0.0000, 0.0000) x3
Se (0.0000, 0.5000, 0.0000) x9
S (0.0000, 0.5000, 0.5000) x9

2.
Starting from a cell relaxed with PBE, the powder diffraction line list of Nb3Co5 was calculated for Cu Kα X-rays.
No peak broadening, texture or thermal motion is included.

Top 10 peaks for 15° ≤ 2θ ≤ 90°, low angle first:
d = 2.480 Å, 36.22 deg, I 307, hkl 3 1 0
d = 2.473 Å, 36.32 deg, I 165, hkl 1 1 3
d = 2.341 Å, 38.45 deg, I 155, hkl 2 2 1
d = 2.153 Å, 41.97 deg, I 653, hkl 0 0 4
d = 2.118 Å, 42.69 deg, I 1000, hkl 2 2 2
d = 2.040 Å, 44.40 deg, I 293, hkl 4 0 0
d = 1.961 Å, 46.31 deg, I 223, hkl 1 3 0
d = 1.878 Å, 48.48 deg, I 203, hkl 3 1 3
d = 1.856 Å, 49.08 deg, I 217, hkl 2 2 3
d = 1.481 Å, 62.74 deg, I 193, hkl 4 0 4

Structural model:
abc: 8.161 6.059 8.616
angles: 90.00 90.00 90.00
Space group Cmcm (No. 63)
One atom of each set of equivalent atoms:
Nb (0.000, 0.126, 0.250) x4
Nb (0.207, 0.500, 0.000) x8
Co (0.000, 0.190, 0.550) x8
Co (0.000, 0.475, 0.750) x4
Co (0.219, 0.217, 0.750) x8

3.
Starting from a cell relaxed with PBE, the powder diffraction line list of TbPr2Tl2 was calculated for Cu Kα X-rays.
No peak broadening, texture or thermal motion is included.

Top 10 peaks for 15° ≤ 2θ ≤ 90°, low angle first:
d = 4.467 Å, 19.88 deg, I 217, hkl 0 0 2
d = 3.009 Å, 29.69 deg, I 558, hkl 1 1 2
d = 2.788 Å, 32.10 deg, I 207, hkl 0 2 2
d = 2.754 Å, 32.51 deg, I 1000, hkl 1 2 1
d = 2.553 Å, 35.16 deg, I 219, hkl 1 0 3
d = 2.478 Å, 36.25 deg, I 293, hkl 2 0 0
d = 1.859 Å, 49.01 deg, I 138, hkl 0 3 3
d = 1.521 Å, 60.93 deg, I 240, hkl 1 2 5
d = 1.487 Å, 62.44 deg, I 178, hkl 0 0 6
d = 1.479 Å, 62.85 deg, I 134, hkl 3 2 1

Structural model:
abc: 4.956 7.137 8.933
angles: 90.00 90.00 90.00
Space group Immm (No. 71)
One atom of each set of equivalent atoms:
Tb (0.000, 0.000, 0.000) x2
Pr (0.000, 0.500, 0.192) x4
Tl (0.000, 0.220, 0.500) x4

4.
Starting from a cell relaxed with PBE, the powder diffraction line list of Np4Bi2H9 was calculated for Cu Kα X-rays.
No peak broadening, texture or thermal motion is included.

Top 10 peaks for 15° ≤ 2θ ≤ 90°, low angle first:
d = 3.215 Å, 27.75 deg, I 252, hkl 1 0 0
d = 2.765 Å, 32.38 deg, I 1000, hkl 0 1 3
d = 2.709 Å, 33.07 deg, I 194, hkl 0 0 6
d = 2.072 Å, 43.70 deg, I 140, hkl 1 0 6
d = 1.856 Å, 49.08 deg, I 226, hkl 1 1 0
d = 1.575 Å, 58.63 deg, I 151, hkl 0 1 9
d = 1.541 Å, 60.03 deg, I 180, hkl 2 0 3
d = 1.531 Å, 60.46 deg, I 215, hkl 1 1 6
d = 1.201 Å, 79.89 deg, I 64, hkl 2 0 9
d = 1.186 Å, 81.11 deg, I 158, hkl 1 2 3

Structural model:
abc: 3.7124 3.7124 16.2529
angles: 90.00 90.00 120.00
Space group P-3m1 (No. 164)
One atom of each set of equivalent atoms:
Np (0.3333, 0.6667, 0.0970) x2
Np (0.3333, 0.6667, 0.4088) x2
Bi (0.3333, 0.6667, 0.7508) x2
H (0.0000, 0.0000, 0.0930) x2
H (0.0000, 0.0000, 0.3718) x2
H (0.0000, 0.0000, 0.5000) x1
H (0.3333, 0.6667, 0.5485) x2
H (0.3333, 0.6667, 0.9571) x2

5.
Starting from a cell relaxed with PBE, the powder diffraction line list of Ac8Pm6Dy was calculated for Cu Kα X-rays.
No peak broadening, texture or thermal motion is included.

Top 10 peaks for 15° ≤ 2θ ≤ 90°, low angle first:
d = 4.120 Å, 21.57 deg, I 138, hkl 1 1 1
d = 3.721 Å, 23.91 deg, I 357, hkl 2 0 1
d = 2.987 Å, 29.92 deg, I 377, hkl 3 -2 1
d = 2.937 Å, 30.43 deg, I 1000, hkl 1 1 2
d = 2.890 Å, 30.94 deg, I 848, hkl 3 0 0
d = 2.060 Å, 43.95 deg, I 249, hkl 4 -2 2
d = 1.918 Å, 47.39 deg, I 236, hkl 2 3 1
d = 1.705 Å, 53.76 deg, I 310, hkl 2 -1 4
d = 1.678 Å, 54.72 deg, I 173, hkl 4 1 2
d = 1.523 Å, 60.84 deg, I 118, hkl 6 -5 1

Structural model:
abc: 10.0123 10.0123 7.2538
angles: 90.00 90.00 120.00
Space group P-3 (No. 147)
One atom of each set of equivalent atoms:
Ac (0.0458, 0.3511, 0.1185) x6
Ac (0.3333, 0.6667, 0.7351) x2
Pm (0.0419, 0.6704, 0.4002) x6
Dy (0.0000, 0.0000, 0.5000) x1

6.
Starting from a cell relaxed with PBE, the powder diffraction line list of Er6GaSe5 was calculated for Cu Kα X-rays.
No peak broadening, texture or thermal motion is included.

Top 10 peaks for 15° ≤ 2θ ≤ 90°, low angle first:
d = 3.320 Å, 26.86 deg, I 178, hkl 0 0 2
d = 2.877 Å, 31.09 deg, I 1000, hkl 1 3 1
d = 2.036 Å, 44.50 deg, I 368, hkl 2 0 2
d = 2.032 Å, 44.59 deg, I 367, hkl 1 3 -3
d = 1.660 Å, 55.35 deg, I 192, hkl 0 0 4
d = 1.438 Å, 64.82 deg, I 118, hkl 4 0 -4
d = 1.287 Å, 73.62 deg, I 161, hkl 0 6 4
d = 1.285 Å, 73.71 deg, I 107, hkl 3 3 -5
d = 1.174 Å, 82.07 deg, I 80, hkl 1 3 5
d = 1.173 Å, 82.14 deg, I 100, hkl 2 0 -6

Structural model:
abc: 7.054 12.192 7.041
angles: 90.00 109.35 90.00
Space group C2/m (No. 12)
One atom of each set of equivalent atoms:
Er (0.241, 0.000, 0.256) x4
Er (0.242, 0.161, 0.742) x8
Ga (0.000, 0.000, 0.500) x2
Se (0.000, 0.171, 0.000) x4
Se (0.000, 0.334, 0.500) x4
Se (0.000, 0.500, 0.000) x2